Structure and simulated powder diffraction line list of Tb8Nd3Ho2 (the GGA-PBE geometry in Alexandria; λ = 1.5418 Å (Cu Kα)).
Neutral-atom scattering factors, no anomalous dispersion.

Structural model:
a = 6.204 Å, b = 6.204 Å, c = 11.328 Å
α = 79.50°, β = 90.00°, γ = 80.48°
Fractional positions:
Tb (0.075, 0.038, 0.342)
Tb (0.151, 0.577, 0.189)
Tb (0.308, 0.654, 0.887)
Tb (0.388, 0.192, 0.735)
Tb (0.612, 0.808, 0.265)
Tb (0.692, 0.346, 0.113)
Tb (0.849, 0.423, 0.811)
Tb (0.925, 0.962, 0.658)
Nd (0.000, 0.500, 0.500)
Nd (0.461, 0.731, 0.579)
Nd (0.539, 0.269, 0.421)
Ho (0.231, 0.115, 0.038)
Ho (0.769, 0.885, 0.962)

Largest 8 diffraction maxima, in order of rising 2θ, 2θ from 10° to 80°:
two_theta  I/Imax
30.56  100.0
35.44  50.6
50.99  36.0
60.62  42.8
63.60  3.1
63.63  9.2
74.93  1.9
75.01  3.8

---

Structure and simulated powder diffraction line list of TbNd7Ho5 (the GGA-PBE geometry in Alexandria; λ = 1.5418 Å (Cu Kα)).
Neutral-atom scattering factors, no anomalous dispersion.

Structural model:
a = 8.838 Å, b = 8.838 Å, c = 8.838 Å
α = 135.23°, β = 99.86°, γ = 96.82°
Fractional positions:
Tb (0.000, 0.000, 0.000)
Nd (0.234, 0.562, 0.672)
Nd (0.310, 0.310, 0.000)
Nd (0.313, 0.813, 0.500)
Nd (0.393, 0.067, 0.326)
Nd (0.621, 0.621, 0.000)
Nd (0.741, 0.067, 0.674)
Nd (0.890, 0.562, 0.328)
Ho (0.045, 0.049, 0.464)
Ho (0.045, 0.582, 0.997)
Ho (0.585, 0.049, 0.003)
Ho (0.585, 0.582, 0.536)
Ho (0.815, 0.315, 0.500)

Largest 10 diffraction maxima, in order of rising 2θ, 2θ from 10° to 80°:
two_theta  I/Imax
26.98  32.5
30.48  71.7
30.62  47.6
30.87  52.6
31.06  91.3
31.45  28.9
34.53  100.0
35.06  35.3
55.62  33.2
56.80  43.9

---

Structure and simulated powder diffraction line list of Tb4NdHo2 (the GGA-PBE geometry in Alexandria; λ = 1.5418 Å (Cu Kα)).
Neutral-atom scattering factors, no anomalous dispersion.

Structural model:
a = 6.131 Å, b = 6.568 Å, c = 11.542 Å
α = 90.00°, β = 104.16°, γ = 90.00°
Fractional positions:
Tb (0.148, 0.008, 0.288)
Tb (0.148, 0.492, 0.288)
Tb (0.212, 0.250, 0.573)
Tb (0.350, 0.750, 0.839)
Tb (0.650, 0.250, 0.161)
Tb (0.788, 0.750, 0.427)
Tb (0.852, 0.508, 0.712)
Tb (0.852, 0.992, 0.712)
Nd (0.464, 0.750, 0.141)
Nd (0.536, 0.250, 0.859)
Ho (0.103, 0.250, 0.995)
Ho (0.350, 0.750, 0.553)
Ho (0.650, 0.250, 0.447)
Ho (0.897, 0.750, 0.005)

Largest 10 diffraction maxima, in order of rising 2θ, 2θ from 10° to 80°:
two_theta  I/Imax
27.15  28.0
28.40  35.8
29.14  48.6
31.15  43.0
31.27  82.7
31.59  55.0
31.85  75.2
33.08  100.0
33.35  77.8
65.56  28.4

---

Structure and simulated powder diffraction line list of Tb5Nd6Ho2 (the GGA-PBE geometry in Alexandria; λ = 1.5418 Å (Cu Kα)).
Neutral-atom scattering factors, no anomalous dispersion.

Structural model:
a = 11.739 Å, b = 20.683 Å, c = 3.628 Å
α = 90.00°, β = 90.00°, γ = 90.00°
Fractional positions:
Tb (0.000, 0.000, 0.000)
Tb (0.091, 0.273, 0.000)
Tb (0.198, 0.556, 0.000)
Tb (0.302, 0.056, 0.000)
Tb (0.409, 0.773, 0.000)
Tb (0.500, 0.500, 0.000)
Tb (0.591, 0.227, 0.000)
Tb (0.698, 0.944, 0.000)
Tb (0.802, 0.444, 0.000)
Tb (0.909, 0.727, 0.000)
Nd (0.061, 0.420, 0.500)
Nd (0.083, 0.133, 0.500)
Nd (0.174, 0.864, 0.000)
Nd (0.326, 0.364, 0.000)
Nd (0.417, 0.633, 0.500)
Nd (0.439, 0.920, 0.500)
Nd (0.561, 0.080, 0.500)
Nd (0.583, 0.367, 0.500)
Nd (0.674, 0.636, 0.000)
Nd (0.826, 0.136, 0.000)
Nd (0.917, 0.867, 0.500)
Nd (0.939, 0.580, 0.500)
Ho (0.167, 0.710, 0.500)
Ho (0.333, 0.210, 0.500)
Ho (0.667, 0.790, 0.500)
Ho (0.833, 0.290, 0.500)

Largest 10 diffraction maxima, in order of rising 2θ, 2θ from 10° to 80°:
two_theta  I/Imax
30.77  50.3
31.06  50.3
31.22  55.3
31.47  16.3
31.76  100.0
33.82  29.8
36.19  27.2
50.29  19.2
56.32  18.6
60.39  17.5